The following is a theoretical PXRD pattern of Rb2MgNbHg. It was derived from DFT lattice parameters and positions (GGA-PBE), using Cu Kα (weighted mean of Kα1 and Kα2).
Kinematic intensities with the Lorentz-polarization factor, no thermal factor.

Atomic structure:
abc: 6.9967 6.9967 5.5590
angles: 90.00 90.00 90.00
Space group P4/mmm (No. 123)
Symmetry-distinct sites (fractional):
Rb 0.0000 0.5000 0.0000 [2 per cell]
Mg 0.0000 0.0000 0.5000 [1 per cell]
Nb 0.5000 0.5000 0.0000 [1 per cell]
Hg 0.5000 0.5000 0.5000 [1 per cell]

The 10 most intense peaks (2θ from 15° to 90°), in order of falling intensity:
d (Å)  Rel. int.  index
3.498  100.0  2 0 0
3.696  85.1  1 1 1
2.176  54.2  2 0 2
3.129  44.3  2 1 0
2.474  39.4  2 2 0
2.056  34.6  3 1 1
1.848  32.7  2 2 2
2.078  28.5  2 1 2
1.363  27.7  4 2 2
2.779  27.3  0 0 2

The following is a theoretical PXRD pattern of Nd3MgHg2. It was derived from DFT lattice parameters and positions (GGA-PBE), using Cu Kα (weighted mean of Kα1 and Kα2).
Kinematic intensities with the Lorentz-polarization factor, no thermal factor.

Atomic structure:
abc: 3.8681 3.8681 11.4512
angles: 90.00 90.00 90.00
Space group P4/mmm (No. 123)
Symmetry-distinct sites (fractional):
Nd 0.0000 0.0000 0.0000 [1 per cell]
Nd 0.0000 0.0000 0.3309 [2 per cell]
Mg 0.5000 0.5000 0.5000 [1 per cell]
Hg 0.5000 0.5000 0.1720 [2 per cell]

The 10 most intense peaks (2θ from 15° to 90°), in order of falling intensity:
d (Å)  Rel. int.  index
2.717  100.0  1 0 3
2.735  51.2  1 1 0
1.576  39.0  2 1 3
1.934  18.9  2 0 0
1.565  18.7  1 1 6
1.358  12.2  2 0 6
1.908  10.2  0 0 6
1.223  8.6  3 1 0
1.222  8.5  3 0 3
5.726  8.3  0 0 2

The following is a theoretical PXRD pattern of Nd6Mg5Hg. It was derived from DFT lattice parameters and positions (GGA-PBE), using Cu Kα (weighted mean of Kα1 and Kα2).
Kinematic intensities with the Lorentz-polarization factor, no thermal factor.

Atomic structure:
abc: 5.4797 7.7492 8.6736
angles: 90.00 108.40 90.00
Space group P2/m (No. 10)
Symmetry-distinct sites (fractional):
Nd 0.0000 0.2478 0.0000 [2 per cell]
Nd 0.3357 0.2508 0.6693 [4 per cell]
Mg 0.1660 0.5000 0.3352 [2 per cell]
Mg 0.1706 0.0000 0.3436 [2 per cell]
Mg 0.5000 0.5000 0.0000 [1 per cell]
Hg 0.5000 0.0000 0.0000 [1 per cell]

The 10 most intense peaks (2θ from 15° to 90°), in order of falling intensity:
d (Å)  Rel. int.  index
2.741  100.0  1 2 1
1.583  38.0  3 2 0
3.876  24.8  1 0 1
1.938  18.2  0 4 0
1.226  10.8  4 0 1
1.734  10.4  3 0 -3
1.371  9.7  2 4 2
2.238  7.6  0 2 3
1.225  5.4  1 6 1
1.292  4.6  3 0 -6

The following is a theoretical PXRD pattern of NdMg11Hg. It was derived from DFT lattice parameters and positions (GGA-PBE), using Cu Kα (weighted mean of Kα1 and Kα2).
Kinematic intensities with the Lorentz-polarization factor, no thermal factor.

Atomic structure:
abc: 5.9353 14.3989 7.7315
angles: 90.00 111.77 90.00
Space group C2/m (No. 12)
Symmetry-distinct sites (fractional):
Nd 0.0000 0.0000 0.0000 [2 per cell]
Mg 0.0000 0.0000 0.5000 [2 per cell]
Mg 0.1053 0.3946 0.2152 [8 per cell]
Mg 0.1769 0.1740 0.3533 [8 per cell]
Mg 0.2500 0.2500 0.0000 [4 per cell]
Hg 0.0000 0.5000 0.5000 [2 per cell]

The 10 most intense peaks (2θ from 15° to 90°), in order of falling intensity:
d (Å)  Rel. int.  index
5.102  100.0  1 1 -1
3.600  96.1  1 3 -1
2.544  96.0  0 4 2
2.956  51.9  1 3 1
3.630  51.6  1 1 1
2.552  49.2  2 2 -2
2.574  47.8  2 2 0
2.531  39.6  1 1 -3
3.213  39.0  0 2 2
1.804  31.4  2 6 -2

Please write out number 4 again, unchanged.
The following is a theoretical PXRD pattern of NdMg11Hg. It was derived from DFT lattice parameters and positions (GGA-PBE), using Cu Kα (weighted mean of Kα1 and Kα2).
Kinematic intensities with the Lorentz-polarization factor, no thermal factor.

Atomic structure:
abc: 5.9353 14.3989 7.7315
angles: 90.00 111.77 90.00
Space group C2/m (No. 12)
Symmetry-distinct sites (fractional):
Nd 0.0000 0.0000 0.0000 [2 per cell]
Mg 0.0000 0.0000 0.5000 [2 per cell]
Mg 0.1053 0.3946 0.2152 [8 per cell]
Mg 0.1769 0.1740 0.3533 [8 per cell]
Mg 0.2500 0.2500 0.0000 [4 per cell]
Hg 0.0000 0.5000 0.5000 [2 per cell]

The 10 most intense peaks (2θ from 15° to 90°), in order of falling intensity:
d (Å)  Rel. int.  index
5.102  100.0  1 1 -1
3.600  96.1  1 3 -1
2.544  96.0  0 4 2
2.956  51.9  1 3 1
3.630  51.6  1 1 1
2.552  49.2  2 2 -2
2.574  47.8  2 2 0
2.531  39.6  1 1 -3
3.213  39.0  0 2 2
1.804  31.4  2 6 -2

- What is the formula in the third record?
  Nd6Mg5Hg